1.
This entry pairs a crystal structure of LiZnO2 with its theoretical PXRD pattern. Radiation: Cu Kα, 1.54184 Å. Structure: DFT lattice parameters and positions (PBE).
No peak broadening, texture or thermal motion is included.

Top 10 peaks for 2θ from 15° to 90°, in order of rising 2θ:
- d 4.839, I = 100
- d 2.558, I = 53
- d 2.447, I = 21
- d 2.113, I = 82
- d 1.936, I = 21
- d 1.621, I = 15
- d 1.501, I = 24
- d 1.488, I = 23
- d 1.433, I = 18
- d 1.223, I = 11

Structural model:
abc: 5.140 5.140 5.140
angles: 33.95 33.95 33.95
Positions (direct):
Li: 0.000 0.000 0.000
Zn: 0.500 0.500 0.500
O: 0.246 0.246 0.246
O: 0.754 0.754 0.754

2.
This entry pairs a crystal structure of Mg14TiZnO16 with its theoretical PXRD pattern. Radiation: Cu Kα, 1.54184 Å. Structure: DFT lattice parameters and positions (PBE).
No peak broadening, texture or thermal motion is included.

Top 10 peaks for 2θ from 15° to 90°, in order of rising 2θ:
- d 4.291, I = 6
- d 3.486, I = 6
- d 2.471, I = 27
- d 2.146, I = 100
- d 2.130, I = 49
- d 1.517, I = 28
- d 1.512, I = 56
- d 1.293, I = 10
- d 1.286, I = 5
- d 1.236, I = 25

Structural model:
abc: 8.583 8.583 4.259
angles: 90.00 90.00 90.00
Positions (direct):
Mg: 0.000 0.250 0.000
Mg: 0.000 0.500 0.500
Mg: 0.000 0.750 0.000
Mg: 0.246 0.500 0.000
Mg: 0.249 0.249 0.500
Mg: 0.249 0.751 0.500
Mg: 0.250 0.000 0.000
Mg: 0.500 0.000 0.500
Mg: 0.500 0.246 0.000
Mg: 0.500 0.754 0.000
Mg: 0.750 0.000 0.000
Mg: 0.751 0.249 0.500
Mg: 0.751 0.751 0.500
Mg: 0.754 0.500 0.000
Ti: 0.500 0.500 0.500
Zn: 0.000 0.000 0.500
O: 0.000 0.000 0.000
O: 0.000 0.254 0.500
O: 0.000 0.500 0.000
O: 0.000 0.746 0.500
O: 0.245 0.500 0.500
O: 0.250 0.250 0.000
O: 0.250 0.750 0.000
O: 0.254 0.000 0.500
O: 0.500 0.000 0.000
O: 0.500 0.245 0.500
O: 0.500 0.500 0.000
O: 0.500 0.755 0.500
O: 0.746 0.000 0.500
O: 0.750 0.250 0.000
O: 0.750 0.750 0.000
O: 0.755 0.500 0.500

3.
This entry pairs a crystal structure of Mg2Sn with its theoretical PXRD pattern. Radiation: Cu Kα, 1.54184 Å. Structure: DFT lattice parameters and positions (PBE).
No peak broadening, texture or thermal motion is included.

Top 10 peaks for 2θ from 15° to 90°, in order of rising 2θ:
- d 4.660, I = 64
- d 4.167, I = 24
- d 4.084, I = 34
- d 3.069, I = 18
- d 2.808, I = 27
- d 2.603, I = 37
- d 2.490, I = 100
- d 2.455, I = 44
- d 2.423, I = 17
- d 1.632, I = 18

Structural model:
abc: 5.618 5.618 6.180
angles: 117.72 117.72 60.67
Positions (direct):
Mg: 0.085 0.252 0.253
Mg: 0.252 0.085 0.753
Mg: 0.748 0.915 0.247
Mg: 0.915 0.748 0.747
Sn: 0.406 0.594 0.250
Sn: 0.594 0.406 0.750

4.
This entry pairs a crystal structure of CrCo3N3 with its theoretical PXRD pattern. Radiation: Cu Kα, 1.54184 Å. Structure: DFT lattice parameters and positions (PBE).
No peak broadening, texture or thermal motion is included.

Top 10 peaks for 2θ from 15° to 90°, in order of rising 2θ:
- d 2.784, I = 56
- d 2.748, I = 59
- d 2.736, I = 60
- d 2.261, I = 100
- d 2.242, I = 94
- d 2.235, I = 91
- d 1.938, I = 78
- d 1.603, I = 35
- d 1.596, I = 34
- d 1.583, I = 37

Structural model:
abc: 6.302 3.876 6.384
angles: 90.00 119.28 90.00
Positions (direct):
Cr: 0.167 0.250 0.336
Cr: 0.833 0.750 0.664
Co: 0.141 0.250 0.823
Co: 0.319 0.750 0.178
Co: 0.320 0.750 0.639
Co: 0.680 0.250 0.361
Co: 0.681 0.250 0.822
Co: 0.859 0.750 0.177
N: 0.161 0.750 0.832
N: 0.330 0.250 0.169
N: 0.330 0.250 0.660
N: 0.670 0.750 0.340
N: 0.670 0.750 0.831
N: 0.839 0.250 0.168

5.
This entry pairs a crystal structure of LiS with its theoretical PXRD pattern. Radiation: Cu Kα, 1.54184 Å. Structure: DFT lattice parameters and positions (PBE).
No peak broadening, texture or thermal motion is included.

Top 10 peaks for 2θ from 15° to 90°, in order of rising 2θ:
- d 4.522, I = 89
- d 3.492, I = 55
- d 3.335, I = 27
- d 3.042, I = 100
- d 2.412, I = 23
- d 2.113, I = 38
- d 1.972, I = 14
- d 1.942, I = 34
- d 1.917, I = 22
- d 1.642, I = 18

Structural model:
abc: 7.759 7.759 7.759
angles: 144.13 144.13 51.64
Positions (direct):
Li: 0.000 0.500 0.500
Li: 0.223 0.223 0.000
Li: 0.500 0.000 0.500
Li: 0.777 0.777 0.000
S: 0.222 0.537 0.000
S: 0.463 0.463 0.685
S: 0.537 0.222 0.000
S: 0.778 0.778 0.315

6.
This entry pairs a crystal structure of CdAg with its theoretical PXRD pattern. Radiation: Cu Kα, 1.54184 Å. Structure: DFT lattice parameters and positions (PBE).
No peak broadening, texture or thermal motion is included.

Top 10 peaks for 2θ from 15° to 90°, in order of rising 2θ:
- d 2.488, I = 100
- d 2.437, I = 31
- d 2.143, I = 64
- d 1.528, I = 21
- d 1.504, I = 20
- d 1.302, I = 12
- d 1.294, I = 23
- d 1.280, I = 11
- d 1.244, I = 10
- d 1.218, I = 3

Structural model:
abc: 5.183 5.183 5.183
angles: 34.28 34.28 34.28
Positions (direct):
Cd: 0.000 0.000 0.000
Ag: 0.500 0.500 0.500